1.
This entry pairs a crystal structure of PrDy4Er2Sc with its simulated powder XRD pattern. Radiation: copper Kα. Structure: a cell relaxed with PBE.
Kinematic intensities with the Lorentz-polarization factor, no thermal factor.

Most intense lines, 5 to 70 degrees two-theta, most intense first:
2theta, I_rel, h k l
31.14, 100, 2 2 0
36.11, 50, 2 0 2
52.02, 30, 4 0 0
61.90, 28, 4 2 2
61.77, 14, 2 2 4
64.86, 6, 0 4 4
65.02, 6, 4 4 0
51.87, 6, 0 0 4
19.95, 3, 1 1 1
12.56, 2, 0 0 1

Crystal structure
```
data_PrDy4Er2Sc
_chemical_formula_sum 'Pr2 Dy8 Er4 Sc2'
_cell_length_a 7.027
_cell_length_b 9.938
_cell_length_c 7.051
_cell_angle_alpha 90.00
_cell_angle_beta 90.07
_cell_angle_gamma 90.00
_symmetry_space_group_name_H-M 'P 1 2/m 1'
_symmetry_Int_Tables_number 10
loop_
_symmetry_equiv_pos_as_xyz
'x,y,z'
'-x,-y,-z'
'-x,y,-z'
'x,-y,z'
loop_
_atom_site_label
_atom_site_type_symbol
_atom_site_fract_x
_atom_site_fract_y
_atom_site_fract_z
Pr1 Pr 0.000 0.000 0.000
Pr2 Pr 0.000 0.000 0.500
Dy1 Dy 0.252 0.253 0.248
Dy2 Dy 0.252 0.253 0.753
Er1 Er 0.000 0.500 0.500
Er2 Er 0.500 0.000 0.500
Er3 Er 0.500 0.500 0.000
Er4 Er 0.500 0.500 0.500
Sc1 Sc 0.000 0.500 0.000
Sc2 Sc 0.500 0.000 0.000
```


2.
This entry pairs a crystal structure of Ce3Sb3N with its simulated powder XRD pattern. Radiation: copper Kα. Structure: a cell relaxed with PBE.
Kinematic intensities with the Lorentz-polarization factor, no thermal factor.

Most intense lines, 5 to 70 degrees two-theta, most intense first:
2theta, I_rel, h k l
30.07, 100, 3 1 1
41.45, 65, 0 2 0
36.51, 57, 2 1 4
31.84, 54, 2 1 3
35.60, 31, 3 1 3
34.36, 31, 1 1 4
35.46, 29, 4 1 1
26.43, 27, 0 0 4
24.72, 27, 2 1 0
28.87, 25, 3 0 3

Crystal structure
```
data_Ce3Sb3N
_chemical_formula_sum 'Ce12 Sb12 N4'
_cell_length_a 12.783
_cell_length_b 4.357
_cell_length_c 13.489
_cell_angle_alpha 90.00
_cell_angle_beta 90.00
_cell_angle_gamma 90.00
_symmetry_space_group_name_H-M 'P n m a'
_symmetry_Int_Tables_number 62
loop_
_symmetry_equiv_pos_as_xyz
'x,y,z'
'-x,-y,-z'
'-x+1/2,-y,z+1/2'
'x+1/2,y,-z+1/2'
'x+1/2,-y+1/2,-z+1/2'
'-x+1/2,y+1/2,z+1/2'
'-x,y+1/2,-z'
'x,-y+1/2,z'
loop_
_atom_site_label
_atom_site_type_symbol
_atom_site_fract_x
_atom_site_fract_y
_atom_site_fract_z
Ce1 Ce 0.005 0.250 0.159
Ce2 Ce 0.100 0.250 0.634
Ce3 Ce 0.231 0.250 0.883
Sb1 Sb 0.074 0.250 0.394
Sb2 Sb 0.142 0.750 0.028
Sb3 Sb 0.249 0.750 0.711
N1 N 0.072 0.250 0.801
```


3.
This entry pairs a crystal structure of Ba3Tl3Hg8 with its simulated powder XRD pattern. Radiation: copper Kα. Structure: a cell relaxed with PBE.
Kinematic intensities with the Lorentz-polarization factor, no thermal factor.

Most intense lines, 5 to 70 degrees two-theta, most intense first:
2theta, I_rel, h k l
33.24, 100, 2 0 0
29.46, 84, 1 2 3
33.82, 37, 0 0 6
48.17, 30, 2 0 6
57.02, 29, 1 4 7
38.72, 29, 1 3 4
28.51, 21, 0 2 4
39.64, 20, 1 4 1
31.19, 20, 1 3 0
29.27, 18, 1 1 4

Crystal structure
```
data_Ba3Tl3Hg8
_chemical_formula_sum 'Ba6 Tl6 Hg16'
_cell_length_a 5.389
_cell_length_b 10.160
_cell_length_c 15.902
_cell_angle_alpha 90.00
_cell_angle_beta 90.00
_cell_angle_gamma 90.00
_symmetry_space_group_name_H-M 'I m m m'
_symmetry_Int_Tables_number 71
_symmetry_space_group_name_Hall '-I 2 2'
loop_
_atom_site_label
_atom_site_type_symbol
_atom_site_fract_x
_atom_site_fract_y
_atom_site_fract_z
Ba1 Ba 0.000 0.000 0.000
Ba2 Ba 0.000 0.000 0.296
Tl1 Tl 0.000 0.189 0.500
Tl2 Tl 0.000 0.500 0.000
Hg1 Hg 0.000 0.281 0.145
Hg2 Hg 0.000 0.357 0.337
```


4.
This entry pairs a crystal structure of FeCo3 with its simulated powder XRD pattern. Radiation: copper Kα. Structure: a cell relaxed with PBE.
Kinematic intensities with the Lorentz-polarization factor, no thermal factor.

Most intense lines, 5 to 70 degrees two-theta, most intense first:
2theta, I_rel, h k l
45.34, 100, 1 0 -2
45.43, 66, 1 1 1
45.68, 33, 2 1 -1
65.85, 10, 1 -1 3
66.21, 10, -3 1 1
66.53, 10, 1 3 -1

Crystal structure
```
data_FeCo3
_chemical_formula_sum 'Fe2 Co6'
_cell_length_a 4.675
_cell_length_b 4.676
_cell_length_c 4.695
_cell_angle_alpha 116.97
_cell_angle_beta 94.85
_cell_angle_gamma 95.69
_symmetry_space_group_name_H-M 'P -1'
_symmetry_Int_Tables_number 2
loop_
_symmetry_equiv_pos_as_xyz
'x,y,z'
'-x,-y,-z'
loop_
_atom_site_label
_atom_site_type_symbol
_atom_site_fract_x
_atom_site_fract_y
_atom_site_fract_z
Fe1 Fe 0.125 0.317 0.065
Co1 Co 0.127 0.813 0.567
Co2 Co 0.368 0.949 0.188
Co3 Co 0.381 0.435 0.695
```


5.
This entry pairs a crystal structure of Li2PrSbO4 with its simulated powder XRD pattern. Radiation: copper Kα. Structure: a cell relaxed with PBE.
Kinematic intensities with the Lorentz-polarization factor, no thermal factor.

Most intense lines, 5 to 70 degrees two-theta, most intense first:
2theta, I_rel, h k l
18.94, 100, 0 0 2
32.92, 95, 1 3 1
43.02, 42, 1 3 3
32.11, 28, 1 1 2
31.85, 24, 0 4 2
27.12, 24, 0 4 1
25.69, 23, 1 1 0
27.43, 23, 1 1 1
25.37, 23, 0 4 0
38.42, 22, 0 0 4

Crystal structure
```
data_Li2PrSbO4
_chemical_formula_sum 'Li8 Pr4 Sb4 O16'
_cell_length_a 3.578
_cell_length_b 14.045
_cell_length_c 9.373
_cell_angle_alpha 90.00
_cell_angle_beta 90.00
_cell_angle_gamma 90.00
_symmetry_space_group_name_H-M 'C m c m'
_symmetry_Int_Tables_number 63
_symmetry_space_group_name_Hall '-C 2c 2'
loop_
_atom_site_label
_atom_site_type_symbol
_atom_site_fract_x
_atom_site_fract_y
_atom_site_fract_z
Li1 Li 0.000 0.079 0.045
Pr1 Pr 0.000 0.456 0.250
Sb1 Sb 0.000 0.265 0.750
O1 O 0.000 0.066 0.250
O2 O 0.000 0.163 0.610
O3 O 0.000 0.500 0.000
```


6.
This entry pairs a crystal structure of Ba3Tl4Pb7 with its simulated powder XRD pattern. Radiation: copper Kα. Structure: a cell relaxed with PBE.
Kinematic intensities with the Lorentz-polarization factor, no thermal factor.

Most intense lines, 5 to 70 degrees two-theta, most intense first:
2theta, I_rel, h k l
28.40, 100, 1 1 2
33.69, 51, 0 2 0
36.54, 40, 7 1 -3
30.05, 38, 1 1 -3
34.40, 37, 5 1 -4
35.53, 26, 6 0 0
29.85, 24, 3 1 1
27.61, 24, 3 1 -3
49.77, 20, 6 2 0
54.84, 17, 11 1 -4

Crystal structure
```
data_Ba3Tl4Pb7
_chemical_formula_sum 'Ba6 Tl8 Pb14'
_cell_length_a 19.435
_cell_length_b 5.321
_cell_length_c 12.206
_cell_angle_alpha 90.00
_cell_angle_beta 128.73
_cell_angle_gamma 90.00
_symmetry_space_group_name_H-M 'C 1 2/m 1'
_symmetry_Int_Tables_number 12
loop_
_symmetry_equiv_pos_as_xyz
'x,y,z'
'-x,-y,-z'
'-x,y,-z'
'x,-y,z'
'x+1/2,y+1/2,z'
'-x+1/2,-y+1/2,-z'
'-x+1/2,y+1/2,-z'
'x+1/2,-y+1/2,z'
loop_
_atom_site_label
_atom_site_type_symbol
_atom_site_fract_x
_atom_site_fract_y
_atom_site_fract_z
Ba1 Ba 0.000 0.000 0.000
Ba2 Ba 0.200 0.500 0.693
Tl1 Tl 0.151 0.000 0.436
Tl2 Tl 0.155 0.500 0.029
Pb1 Pb 0.000 0.000 0.500
Pb2 Pb 0.007 0.500 0.689
Pb3 Pb 0.140 0.500 0.275
Pb4 Pb 0.145 0.000 0.866
```


7.
This entry pairs a crystal structure of NdCu2O4 with its simulated powder XRD pattern. Radiation: copper Kα. Structure: a cell relaxed with PBE.
Kinematic intensities with the Lorentz-polarization factor, no thermal factor.

Most intense lines, 5 to 70 degrees two-theta, most intense first:
2theta, I_rel, h k l
27.77, 100, 1 1 3
23.88, 58, 0 2 2
32.67, 46, 1 3 1
40.83, 41, 1 1 5
44.65, 39, 3 1 1
48.88, 39, 0 4 4
51.13, 25, 1 5 1
45.61, 24, 2 2 4
31.88, 24, 2 0 2
57.32, 17, 3 3 3

Crystal structure
```
data_NdCu2O4
_chemical_formula_sum 'Nd8 Cu16 O32'
_cell_length_a 6.327
_cell_length_b 9.422
_cell_length_c 12.182
_cell_angle_alpha 90.00
_cell_angle_beta 90.00
_cell_angle_gamma 90.00
_symmetry_space_group_name_H-M 'F d d d'
_symmetry_Int_Tables_number 70
loop_
_symmetry_equiv_pos_as_xyz
'x,y,z'
'-x,-y,-z'
'-x+1/4,-y+1/4,z'
'x+1/4,y+1/4,-z'
'x,-y+1/4,-z+1/4'
'-x,y+1/4,z+1/4'
'-x+1/4,y,-z+1/4'
'x+1/4,-y,z+1/4'
'x,y+1/2,z+1/2'
'-x,-y+1/2,-z+1/2'
'-x+1/4,-y+3/4,z+1/2'
'x+1/4,y+3/4,-z+1/2'
'x,-y+3/4,-z+3/4'
'-x,y+3/4,z+3/4'
'-x+1/4,y+1/2,-z+3/4'
'x+1/4,-y+1/2,z+3/4'
'x+1/2,y,z+1/2'
'-x+1/2,-y,-z+1/2'
'-x+3/4,-y+1/4,z+1/2'
'x+3/4,y+1/4,-z+1/2'
'x+1/2,-y+1/4,-z+3/4'
'-x+1/2,y+1/4,z+3/4'
'-x+3/4,y,-z+3/4'
'x+3/4,-y,z+3/4'
'x+1/2,y+1/2,z'
'-x+1/2,-y+1/2,-z'
'-x+3/4,-y+3/4,z'
'x+3/4,y+3/4,-z'
'x+1/2,-y+3/4,-z+1/4'
'-x+1/2,y+3/4,z+1/4'
'-x+3/4,y+1/2,-z+1/4'
'x+3/4,-y+1/2,z+1/4'
loop_
_atom_site_label
_atom_site_type_symbol
_atom_site_fract_x
_atom_site_fract_y
_atom_site_fract_z
Nd1 Nd 0.125 0.125 0.125
Cu1 Cu 0.000 0.000 0.500
O1 O 0.044 0.302 0.990
```


Question: What is the formula in the sixth record?
Answer: Ba3Tl4Pb7